(1)
Starting from a PBE-relaxed structure, the powder diffractogram of BaNaCu2 was computed for Cu Kα, 1.54184 Å.
Neutral-atom scattering factors, no anomalous dispersion.

Structure:
Lattice parameters (Å, degrees): 4.984 4.984 18.962 90.00 90.00 90.00
Space group I4_1/amd (No. 141, origin choice 2)
Asymmetric unit:
Ba 0.000 0.250 0.375
Na 0.000 0.250 0.875
Cu 0.000 0.000 0.000

Top 6 peaks for 10 to 90 degrees two-theta, in order of rising 2θ:
- hkl 1 0 3, 22.72 deg, rel. 100
- hkl 1 1 2, 26.99 deg, rel. 76
- hkl 1 0 5, 29.60 deg, rel. 52
- hkl 1 1 6, 38.25 deg, rel. 30
- hkl 2 1 1, 40.76 deg, rel. 43
- hkl 2 2 4, 55.65 deg, rel. 34



(2)
Starting from a PBE-relaxed structure, the powder diffractogram of Ba2NaCu3O6 was computed for Cu Kα, 1.54184 Å.
Neutral-atom scattering factors, no anomalous dispersion.

Structure:
Lattice parameters (Å, degrees): 8.490 11.519 14.635 90.00 90.00 90.00
Space group Fmmm (No. 69)
Asymmetric unit:
Ba 0.000 0.232 0.000
Ba 0.250 0.250 0.250
Na 0.000 0.000 0.331
Cu 0.151 0.000 0.148
Cu 0.191 0.000 0.500
O 0.000 0.116 0.189
O 0.204 0.112 0.407

Top 6 peaks for 10 to 90 degrees two-theta, in order of rising 2θ:
- hkl 2 0 2, 24.27 deg, rel. 19
- hkl 0 2 4, 28.86 deg, rel. 100
- hkl 0 4 0, 31.06 deg, rel. 20
- hkl 3 1 3, 37.56 deg, rel. 13
- hkl 2 4 2, 39.80 deg, rel. 23
- hkl 2 2 6, 45.70 deg, rel. 18



(3)
Starting from a PBE-relaxed structure, the powder diffractogram of Ba3NaCu2O6 was computed for Cu Kα, 1.54184 Å.
Neutral-atom scattering factors, no anomalous dispersion.

Structure:
Lattice parameters (Å, degrees): 6.1159 6.1159 6.9721 90.00 90.00 120.00
Space group P-3m1 (No. 164)
Asymmetric unit:
Ba 0.0000 0.0000 0.0000
Ba 0.3333 0.6667 0.6526
Na 0.0000 0.0000 0.5000
Cu 0.3333 0.6667 0.2153
O 0.1685 0.3369 0.2855

Top 6 peaks for 10 to 90 degrees two-theta, in order of rising 2θ:
- hkl 1 0 1, 21.06 deg, rel. 46
- hkl 1 1 0, 29.20 deg, rel. 100
- hkl 0 1 2, 30.70 deg, rel. 80
- hkl 0 2 1, 36.29 deg, rel. 22
- hkl 2 0 2, 42.89 deg, rel. 46
- hkl 1 2 2, 52.73 deg, rel. 34



Number 2 is which compound? Ba2NaCu3O6